[1]
Structure and computed powder XRD pattern of NiBrO (a DFT-relaxed cell (GGA+U, the Materials Project); CuKα).
Intensities are scaled so that the largest is 100.

Structure:
```
NiBrO
1.0
2.794 0.000 0.000
0.000 2.901 0.000
0.000 0.000 5.997
Ni Br O
1 1 1
direct
0.000 0.000 0.000
0.000 0.000 0.500
0.500 0.500 0.000
```

The 10 most intense peaks (10° ≤ 2θ ≤ 90°), low angle first:
d = 2.999 Å, 29.79 deg, I = 100
d = 2.901 Å, 30.82 deg, I = 57
d = 2.794 Å, 32.03 deg, I = 52
d = 2.085 Å, 43.40 deg, I = 44
d = 2.044 Å, 44.31 deg, I = 42
d = 2.013 Å, 45.04 deg, I = 61
d = 1.671 Å, 54.94 deg, I = 65
d = 1.306 Å, 72.36 deg, I = 13
d = 1.202 Å, 79.76 deg, I = 20
d = 1.183 Å, 81.33 deg, I = 14



[2]
Structure and computed powder XRD pattern of Sr3CoRuO6 (a DFT-relaxed cell (GGA+U, the Materials Project); CuKα).
Intensities are scaled so that the largest is 100.

Structure:
```
Sr3CoRuO6
1.0
6.683 0.000 0.000
-0.348 6.710 0.000
-0.230 -0.213 6.834
Sr Co Ru O
6 2 2 12
direct
0.000 0.000 0.000
0.135 0.496 0.857
0.275 0.363 0.357
0.502 0.866 0.139
0.638 0.730 0.637
0.774 0.228 0.496
0.122 0.878 0.506
0.644 0.361 0.987
0.388 0.110 0.748
0.891 0.613 0.247
0.097 0.153 0.656
0.170 0.693 0.189
0.299 0.830 0.797
0.356 0.207 0.034
0.419 0.017 0.461
0.480 0.392 0.704
0.609 0.532 0.304
0.676 0.072 0.839
0.789 0.645 0.963
0.856 0.904 0.343
0.921 0.326 0.152
0.990 0.583 0.534
```

The 10 most intense peaks (10° ≤ 2θ ≤ 90°), low angle first:
d = 4.861 Å, 18.25 deg, I = 11
d = 4.702 Å, 18.87 deg, I = 11
d = 3.003 Å, 29.75 deg, I = 24
d = 2.974 Å, 30.05 deg, I = 10
d = 2.956 Å, 30.23 deg, I = 11
d = 2.930 Å, 30.51 deg, I = 23
d = 2.806 Å, 31.89 deg, I = 100
d = 2.135 Å, 42.33 deg, I = 11
d = 1.620 Å, 56.83 deg, I = 15
d = 1.403 Å, 66.66 deg, I = 13



[3]
Structure and computed powder XRD pattern of LiCoPO4 (a DFT-relaxed cell (GGA+U, the Materials Project); CuKα).
Intensities are scaled so that the largest is 100.

Structure:
```
LiCoPO4
1.0
2.644 -4.586 0.000
2.644 4.586 0.000
0.000 0.000 25.248
Li Co P O
6 6 6 24
direct
0.000 0.000 0.083
0.000 0.000 0.250
0.000 0.000 0.417
0.000 0.000 0.583
0.000 0.000 0.750
0.000 0.000 0.917
0.000 0.500 0.167
0.000 0.500 0.667
0.500 0.000 0.333
0.500 0.000 0.833
0.500 0.500 0.000
0.500 0.500 0.500
0.000 0.500 0.417
0.000 0.500 0.917
0.500 0.000 0.083
0.500 0.000 0.583
0.500 0.500 0.250
0.500 0.500 0.750
0.179 0.778 0.382
0.180 0.403 0.951
0.180 0.777 0.883
0.182 0.404 0.451
0.222 0.821 0.618
0.223 0.403 0.216
0.223 0.403 0.716
0.223 0.820 0.117
0.403 0.180 0.049
0.403 0.223 0.284
0.403 0.223 0.784
0.404 0.180 0.549
0.596 0.818 0.549
0.597 0.777 0.284
0.597 0.777 0.784
0.597 0.820 0.049
0.777 0.180 0.618
0.777 0.597 0.216
0.777 0.597 0.716
0.778 0.180 0.117
0.820 0.222 0.883
0.820 0.223 0.382
0.820 0.596 0.451
0.820 0.597 0.951
```

The 10 most intense peaks (10° ≤ 2θ ≤ 90°), low angle first:
d = 4.583 Å, 19.37 deg, I = 10
d = 3.709 Å, 24.00 deg, I = 100
d = 2.646 Å, 33.88 deg, I = 4
d = 2.599 Å, 34.50 deg, I = 8
d = 2.292 Å, 39.32 deg, I = 8
d = 2.028 Å, 44.69 deg, I = 20
d = 1.671 Å, 54.97 deg, I = 10
d = 1.550 Å, 59.66 deg, I = 12
d = 1.519 Å, 61.02 deg, I = 5
d = 1.246 Å, 76.44 deg, I = 5



[4]
Structure and computed powder XRD pattern of Li2MnP4O12 (a DFT-relaxed cell (GGA+U, the Materials Project); CuKα).
Intensities are scaled so that the largest is 100.

Structure:
```
Li2MnP4O12
1.0
5.001 0.000 0.000
2.197 6.766 0.000
0.818 2.929 6.893
Li Mn P O
2 1 4 12
direct
0.035 0.260 0.050
0.965 0.740 0.950
0.000 0.000 0.500
0.435 0.399 0.282
0.437 0.194 0.711
0.563 0.806 0.289
0.565 0.601 0.718
0.214 0.144 0.853
0.223 0.456 0.130
0.275 0.752 0.717
0.294 0.299 0.493
0.296 0.981 0.286
0.465 0.614 0.285
0.535 0.386 0.715
0.704 0.019 0.714
0.706 0.701 0.507
0.725 0.248 0.283
0.777 0.544 0.870
0.786 0.856 0.147
```

The 10 most intense peaks (10° ≤ 2θ ≤ 90°), low angle first:
d = 6.893 Å, 12.84 deg, I = 63
d = 4.755 Å, 18.66 deg, I = 35
d = 3.446 Å, 25.85 deg, I = 23
d = 3.376 Å, 26.40 deg, I = 14
d = 3.339 Å, 26.70 deg, I = 39
d = 3.308 Å, 26.95 deg, I = 33
d = 3.266 Å, 27.31 deg, I = 100
d = 2.815 Å, 31.79 deg, I = 34
d = 2.767 Å, 32.36 deg, I = 34
d = 2.495 Å, 36.00 deg, I = 13



[5]
Structure and computed powder XRD pattern of V3AgO8 (a DFT-relaxed cell (GGA+U, the Materials Project); CuKα).
Intensities are scaled so that the largest is 100.

Structure:
```
V3AgO8
1.0
7.367 0.000 0.000
0.000 3.612 0.000
-3.492 0.000 11.858
V Ag O
6 2 16
direct
0.121 0.250 0.417
0.255 0.250 0.689
0.317 0.250 0.956
0.683 0.750 0.044
0.745 0.750 0.311
0.879 0.750 0.583
0.189 0.750 0.181
0.811 0.250 0.819
0.050 0.750 0.419
0.147 0.250 0.824
0.172 0.750 0.671
0.196 0.250 0.052
0.228 0.250 0.316
0.301 0.250 0.548
0.396 0.750 0.962
0.473 0.250 0.772
0.527 0.750 0.228
0.604 0.250 0.038
0.699 0.750 0.452
0.772 0.750 0.684
0.804 0.750 0.948
0.828 0.250 0.329
0.853 0.750 0.176
0.950 0.250 0.581
```

The 10 most intense peaks (10° ≤ 2θ ≤ 90°), low angle first:
d = 7.067 Å, 12.52 deg, I = 45
d = 5.433 Å, 16.31 deg, I = 53
d = 3.534 Å, 25.20 deg, I = 75
d = 3.455 Å, 25.78 deg, I = 83
d = 3.085 Å, 28.94 deg, I = 46
d = 3.059 Å, 29.19 deg, I = 100
d = 2.993 Å, 29.85 deg, I = 59
d = 2.669 Å, 33.58 deg, I = 46
d = 2.352 Å, 38.26 deg, I = 63
d = 1.806 Å, 50.53 deg, I = 43



[6]
Structure and computed powder XRD pattern of Co3P2O8 (a DFT-relaxed cell (GGA+U, the Materials Project); CuKα).
Intensities are scaled so that the largest is 100.

Structure:
```
Co3P2O8
1.0
4.794 0.000 0.000
0.030 6.013 0.000
0.084 0.146 10.347
Co P O
6 4 16
direct
0.000 0.000 0.000
0.020 0.735 0.723
0.476 0.736 0.225
0.500 0.000 0.500
0.524 0.264 0.775
0.980 0.265 0.277
0.080 0.243 0.595
0.424 0.242 0.097
0.576 0.758 0.903
0.920 0.757 0.405
0.191 0.250 0.454
0.193 0.433 0.679
0.238 0.028 0.654
0.240 0.775 0.396
0.255 0.776 0.895
0.269 0.033 0.161
0.309 0.438 0.178
0.316 0.246 0.956
0.684 0.754 0.044
0.691 0.562 0.822
0.731 0.967 0.839
0.745 0.224 0.105
0.760 0.225 0.604
0.762 0.972 0.346
0.807 0.567 0.321
0.809 0.750 0.546
```

The 10 most intense peaks (10° ≤ 2θ ≤ 90°), low angle first:
d = 6.013 Å, 14.73 deg, I = 30
d = 3.895 Å, 22.83 deg, I = 50
d = 3.514 Å, 25.35 deg, I = 100
d = 3.006 Å, 29.72 deg, I = 25
d = 2.810 Å, 31.84 deg, I = 23
d = 2.560 Å, 35.05 deg, I = 37
d = 2.538 Å, 35.36 deg, I = 35
d = 2.471 Å, 36.36 deg, I = 29
d = 1.758 Å, 52.02 deg, I = 34
d = 1.504 Å, 61.67 deg, I = 24



[7]
Structure and computed powder XRD pattern of Li9Mn2Co5O16 (a DFT-relaxed cell (GGA+U, the Materials Project); CuKα).
Intensities are scaled so that the largest is 100.

Structure:
```
Li9Mn2Co5O16
1.0
5.908 0.000 0.000
1.529 6.310 0.000
1.733 -0.107 7.630
Li Mn Co O
9 2 5 16
direct
0.000 0.000 0.000
0.120 0.879 0.628
0.121 0.370 0.120
0.366 0.630 0.881
0.373 0.123 0.374
0.627 0.877 0.626
0.634 0.370 0.119
0.879 0.630 0.880
0.880 0.121 0.372
0.500 0.000 0.000
0.500 0.500 0.500
0.000 0.500 0.500
0.237 0.757 0.242
0.253 0.252 0.752
0.747 0.748 0.248
0.763 0.243 0.758
0.049 0.687 0.086
0.055 0.207 0.560
0.207 0.050 0.184
0.209 0.550 0.683
0.311 0.455 0.337
0.322 0.962 0.823
0.449 0.297 0.945
0.450 0.793 0.427
0.550 0.207 0.573
0.551 0.703 0.055
0.678 0.038 0.177
0.689 0.545 0.663
0.791 0.450 0.317
0.793 0.950 0.816
0.945 0.793 0.440
0.951 0.313 0.914
```

The 10 most intense peaks (10° ≤ 2θ ≤ 90°), low angle first:
d = 4.829 Å, 18.37 deg, I = 100
d = 2.538 Å, 35.36 deg, I = 17
d = 2.475 Å, 36.30 deg, I = 13
d = 2.448 Å, 36.71 deg, I = 12
d = 2.390 Å, 37.64 deg, I = 7
d = 2.126 Å, 42.51 deg, I = 29
d = 2.054 Å, 44.09 deg, I = 27
d = 2.035 Å, 44.53 deg, I = 26
d = 1.479 Å, 62.82 deg, I = 15
d = 1.476 Å, 62.97 deg, I = 8



[8]
Structure and computed powder XRD pattern of Li3Mn4P6O24 (a DFT-relaxed cell (GGA+U, the Materials Project); CuKα).
Intensities are scaled so that the largest is 100.

Structure:
```
Li3Mn4P6O24
1.0
6.291 0.000 0.000
-2.209 8.091 0.000
-2.502 -1.066 8.220
Li Mn P O
3 4 6 24
direct
0.000 0.000 0.000
0.248 0.785 0.205
0.752 0.215 0.795
0.131 0.874 0.557
0.367 0.443 0.122
0.633 0.557 0.878
0.869 0.126 0.443
0.127 0.648 0.846
0.249 0.210 0.786
0.359 0.153 0.353
0.641 0.847 0.647
0.751 0.790 0.214
0.873 0.352 0.154
0.024 0.238 0.670
0.098 0.492 0.159
0.105 0.678 0.667
0.178 0.798 0.964
0.182 0.104 0.458
0.234 0.235 0.962
0.261 0.028 0.757
0.269 0.026 0.205
0.322 0.552 0.903
0.391 0.335 0.318
0.407 0.848 0.522
0.475 0.326 0.766
0.525 0.674 0.234
0.593 0.152 0.478
0.609 0.665 0.682
0.678 0.448 0.097
0.731 0.974 0.795
0.739 0.972 0.243
0.766 0.765 0.038
0.818 0.896 0.542
0.822 0.202 0.036
0.895 0.322 0.333
0.902 0.508 0.841
0.976 0.762 0.330
```

The 10 most intense peaks (10° ≤ 2θ ≤ 90°), low angle first:
d = 6.151 Å, 14.40 deg, I = 36
d = 5.493 Å, 16.14 deg, I = 16
d = 5.405 Å, 16.40 deg, I = 100
d = 3.075 Å, 29.03 deg, I = 14
d = 3.032 Å, 29.46 deg, I = 24
d = 3.003 Å, 29.75 deg, I = 28
d = 2.701 Å, 33.16 deg, I = 37
d = 2.645 Å, 33.88 deg, I = 13
d = 2.501 Å, 35.91 deg, I = 12
d = 1.556 Å, 59.40 deg, I = 12